Theoretical powder X-ray diffraction pattern
Compound: YH12Cl3O6
Radiation: Cu Kα (weighted mean of Kα1 and Kα2)
Structure: DFT lattice parameters and positions (PBE)
No peak broadening, texture or thermal motion is included.

Main lines, sorted by position (2θ = 10–80°):
hkl, Position (°2θ), intensity
1 0 0, 14.19, 82
1 0 -2, 14.97, 90
0 1 1, 16.23, 52
1 1 -1, 17.53, 62
2 0 -2, 22.72, 70
1 1 1, 25.08, 100
1 1 -3, 26.00, 81
2 1 1, 37.77, 56
0 2 3, 39.06, 68
2 2 -5, 46.46, 53

Structure:
```
YH12Cl3O6
1.0
7.838 0.000 0.000
0.000 6.632 0.000
-7.311 0.000 9.627
Y H Cl O
2 24 6 12
direct
0.000 0.160 0.250
0.000 0.840 0.750
0.030 0.446 0.881
0.030 0.554 0.381
0.205 0.479 0.188
0.205 0.521 0.688
0.234 0.102 0.126
0.234 0.898 0.626
0.318 0.075 0.733
0.318 0.925 0.233
0.368 0.323 0.534
0.368 0.677 0.034
0.470 0.243 0.465
0.470 0.757 0.965
0.530 0.243 0.035
0.530 0.757 0.535
0.632 0.323 0.966
0.632 0.677 0.466
0.682 0.075 0.767
0.682 0.925 0.267
0.766 0.102 0.374
0.766 0.898 0.874
0.795 0.479 0.312
0.795 0.521 0.812
0.970 0.446 0.619
0.970 0.554 0.119
0.199 0.165 0.937
0.199 0.835 0.437
0.500 0.355 0.750
0.500 0.645 0.250
0.801 0.165 0.563
0.801 0.835 0.063
0.060 0.431 0.149
0.060 0.569 0.649
0.254 0.060 0.212
0.254 0.940 0.712
0.333 0.292 0.443
0.333 0.708 0.943
0.667 0.292 0.057
0.667 0.708 0.557
0.746 0.060 0.288
0.746 0.940 0.788
0.940 0.431 0.351
0.940 0.569 0.851
```